Structure and simulated XRD peak list of SiMo2 (DFT lattice parameters and positions (PBE); CuKα).

Structural model:
Cell: 7.319 7.319 7.319 Å, 90.00 90.00 90.00°
Space group Fd-3m (No. 227, origin choice 2)
Inequivalent atoms, fractional coordinates:
Si  0.125  0.125  0.125
Mo  0.000  0.000  0.500

Principal peaks in the range 10 to 80 degrees two-theta, low angle first:
2theta	Rel. int.	(hkl)
21.0	819	1 1 1
34.7	47	2 2 0
40.9	1000	3 1 1
42.8	803	2 2 2
49.8	278	4 0 0
54.7	180	3 3 1
62.1	16	4 2 2
66.4	306	5 1 1
73.1	313	4 4 0
77.1	130	5 3 1